Record 1
Structure and calculated PXRD pattern of ScCrSi2 (DFT lattice parameters and positions (PBE); Cu Kα).
Kinematic intensities with the Lorentz-polarization factor, no thermal factor.

The 10 most intense peaks (5° ≤ 2θ ≤ 70°), sorted by position:
2θ/deg  intensity
15.33  15.4
31.95  20.2
39.82  70.6
42.12  100.0
42.90  4.3
47.17  5.2
55.67  5.9
57.58  21.9
63.39  7.7
64.48  3.6

```
data_ScCrSi2
_chemical_formula_sum 'Sc1 Cr1 Si2'
_space_group_name_H-M_alt 'P 4 m m'
_space_group_IT_number 99
_space_group_name_Hall 'P 4 -2'
_cell_length_a 3.202
_cell_length_b 3.202
_cell_length_c 5.781
_cell_angle_alpha 90.00
_cell_angle_beta 90.00
_cell_angle_gamma 90.00
loop_
_atom_site_label
_atom_site_fract_x
_atom_site_fract_y
_atom_site_fract_z
Sc1 0.000 0.000 0.000
Cr1 0.500 0.500 0.713
Si1 0.000 0.000 0.529
Si2 0.500 0.500 0.299
```

***

Record 2
Structure and calculated PXRD pattern of ScCrTe2 (DFT lattice parameters and positions (PBE); Cu Kα).
Kinematic intensities with the Lorentz-polarization factor, no thermal factor.

The 10 most intense peaks (5° ≤ 2θ ≤ 70°), sorted by position:
2θ/deg  intensity
23.87  20.4
26.05  53.2
27.31  55.0
30.83  29.0
32.78  100.0
38.28  56.0
45.16  21.2
46.71  19.2
47.51  22.9
47.66  26.0

```
data_ScCrTe2
_chemical_formula_sum 'Sc2 Cr2 Te4'
_space_group_name_H-M_alt 'C 1 m 1'
_space_group_IT_number 8
_space_group_name_Hall 'C -2y'
_cell_length_a 13.062
_cell_length_b 3.890
_cell_length_c 4.016
_cell_angle_alpha 90.00
_cell_angle_beta 90.06
_cell_angle_gamma 90.00
loop_
_atom_site_label
_atom_site_fract_x
_atom_site_fract_y
_atom_site_fract_z
Sc1 0.000 0.000 0.000
Cr1 0.299 0.500 0.499
Te1 0.084 0.500 0.500
Te2 0.326 0.000 0.999
```

***

Record 3
Structure and calculated PXRD pattern of Sc2Tl3CrTe6 (DFT lattice parameters and positions (PBE); Cu Kα).
Kinematic intensities with the Lorentz-polarization factor, no thermal factor.

The 10 most intense peaks (5° ≤ 2θ ≤ 70°), sorted by position:
2θ/deg  intensity
24.70  20.1
28.59  100.0
30.71  29.2
33.34  13.0
38.69  32.9
42.98  35.5
52.44  17.9
55.45  29.2
59.19  12.7
63.96  9.3

```
data_Sc2Tl3CrTe6
_chemical_formula_sum 'Sc4 Tl6 Cr2 Te12'
_space_group_name_H-M_alt 'C 1 2/m 1'
_space_group_IT_number 12
_space_group_name_Hall '-C 2y'
_cell_length_a 7.289
_cell_length_b 12.628
_cell_length_c 8.422
_cell_angle_alpha 90.00
_cell_angle_beta 106.77
_cell_angle_gamma 90.00
loop_
_atom_site_label
_atom_site_fract_x
_atom_site_fract_y
_atom_site_fract_z
Sc1 0.000 0.166 0.000
Tl1 0.000 0.000 0.500
Tl2 0.000 0.326 0.500
Cr1 0.000 0.500 0.000
Te1 0.224 0.341 0.195
Te2 0.248 0.000 0.202
```

***

Record 4
Structure and calculated PXRD pattern of Sc2CrW (DFT lattice parameters and positions (PBE); Cu Kα).
Kinematic intensities with the Lorentz-polarization factor, no thermal factor.

The 10 most intense peaks (5° ≤ 2θ ≤ 70°), sorted by position:
2θ/deg  intensity
19.08  83.4
19.40  52.7
33.17  36.6
33.75  21.1
38.01  100.0
38.71  94.9
39.09  46.1
39.39  45.1
56.70  29.9
69.63  23.6

```
data_Sc2CrW
_chemical_formula_sum 'Sc4 Cr2 W2'
_space_group_name_H-M_alt 'C 1 2/m 1'
_space_group_IT_number 12
_space_group_name_Hall '-C 2y'
_cell_length_a 5.657
_cell_length_b 9.149
_cell_length_c 2.897
_cell_angle_alpha 90.00
_cell_angle_beta 107.25
_cell_angle_gamma 90.00
loop_
_atom_site_label
_atom_site_fract_x
_atom_site_fract_y
_atom_site_fract_z
Sc1 0.250 0.250 0.000
Cr1 0.000 0.000 0.500
W1 0.000 0.500 0.500
```

***

Record 5
Structure and calculated PXRD pattern of Cr2Se3 (DFT lattice parameters and positions (PBE); Cu Kα).
Kinematic intensities with the Lorentz-polarization factor, no thermal factor.

The 10 most intense peaks (5° ≤ 2θ ≤ 70°), sorted by position:
2θ/deg  intensity
15.09  12.2
30.45  7.4
32.02  100.0
41.89  52.9
49.69  36.8
55.11  21.3
59.40  6.7
60.34  15.0
63.37  5.2
66.96  11.8

```
data_Cr2Se3
_chemical_formula_sum 'Cr12 Se18'
_space_group_name_H-M_alt 'R -3'
_space_group_IT_number 148
_space_group_name_Hall '-R 3'
_cell_length_a 6.3564
_cell_length_b 6.3564
_cell_length_c 17.6122
_cell_angle_alpha 90.00
_cell_angle_beta 90.00
_cell_angle_gamma 120.00
loop_
_atom_site_label
_atom_site_fract_x
_atom_site_fract_y
_atom_site_fract_z
Cr1 0.0000 0.0000 0.0000
Cr2 0.0000 0.0000 0.1756
Cr3 0.0000 0.0000 0.5000
Se1 0.0071 0.3486 0.7537
```

***

Record 6
Structure and calculated PXRD pattern of Cr3Se4 (DFT lattice parameters and positions (PBE); Cu Kα).
Kinematic intensities with the Lorentz-polarization factor, no thermal factor.

The 10 most intense peaks (5° ≤ 2θ ≤ 70°), sorted by position:
2θ/deg  intensity
31.25  28.8
31.64  98.0
32.04  100.0
40.82  17.4
41.29  51.8
41.92  39.7
42.09  24.7
49.17  60.3
49.56  30.9
55.06  22.1

```
data_Cr3Se4
_chemical_formula_sum 'Cr6 Se8'
_space_group_name_H-M_alt 'C 1 2/m 1'
_space_group_IT_number 12
_space_group_name_Hall '-C 2y'
_cell_length_a 13.313
_cell_length_b 3.679
_cell_length_c 6.437
_cell_angle_alpha 90.00
_cell_angle_beta 117.22
_cell_angle_gamma 90.00
loop_
_atom_site_label
_atom_site_fract_x
_atom_site_fract_y
_atom_site_fract_z
Cr1 0.000 0.000 0.000
Cr2 0.238 0.500 0.717
Se1 0.122 0.000 0.451
Se2 0.134 0.500 0.977
```

***

Record 7
Structure and calculated PXRD pattern of Cr2Se3 (DFT lattice parameters and positions (PBE); Cu Kα).
Kinematic intensities with the Lorentz-polarization factor, no thermal factor.

The 10 most intense peaks (5° ≤ 2θ ≤ 70°), sorted by position:
2θ/deg  intensity
15.09  12.1
17.80  7.2
30.45  7.4
32.03  100.0
41.90  52.9
49.71  39.0
55.12  21.3
59.42  7.1
60.37  15.1
66.99  11.8

```
data_Cr2Se3
_chemical_formula_sum 'Cr8 Se12'
_space_group_name_H-M_alt 'P -3 1 c'
_space_group_IT_number 163
_space_group_name_Hall '-P 3 2c'
_cell_length_a 6.3533
_cell_length_b 6.3533
_cell_length_c 11.7434
_cell_angle_alpha 90.00
_cell_angle_beta 90.00
_cell_angle_gamma 120.00
loop_
_atom_site_label
_atom_site_fract_x
_atom_site_fract_y
_atom_site_fract_z
Cr1 0.0000 0.0000 0.0000
Cr2 0.3333 0.6667 0.0132
Cr3 0.3333 0.6667 0.7500
Se1 0.0140 0.3404 0.6195
```

***

Record 8
Structure and calculated PXRD pattern of Cr5Se8 (DFT lattice parameters and positions (PBE); Cu Kα).
Kinematic intensities with the Lorentz-polarization factor, no thermal factor.

The 10 most intense peaks (5° ≤ 2θ ≤ 70°), sorted by position:
2θ/deg  intensity
15.18  24.6
30.63  15.3
32.08  47.2
32.21  35.5
32.51  100.0
41.80  20.2
42.02  24.5
42.50  34.8
50.31  67.4
55.26  21.6

```
data_Cr5Se8
_chemical_formula_sum 'Cr10 Se16'
_space_group_name_H-M_alt 'C 1 2/m 1'
_space_group_IT_number 12
_space_group_name_Hall '-C 2y'
_cell_length_a 11.678
_cell_length_b 7.259
_cell_length_c 8.483
_cell_angle_alpha 90.00
_cell_angle_beta 132.25
_cell_angle_gamma 90.00
loop_
_atom_site_label
_atom_site_fract_x
_atom_site_fract_y
_atom_site_fract_z
Cr1 0.000 0.000 0.000
Cr2 0.000 0.273 0.500
Cr3 0.230 0.500 0.987
Se1 0.021 0.000 0.323
Se2 0.047 0.500 0.333
Se3 0.212 0.242 0.170
```

***

Record 9
Structure and calculated PXRD pattern of Cr2Se3 (DFT lattice parameters and positions (PBE); Cu Kα).
Kinematic intensities with the Lorentz-polarization factor, no thermal factor.

The 10 most intense peaks (5° ≤ 2θ ≤ 70°), sorted by position:
2θ/deg  intensity
9.39  30.2
18.84  13.6
28.43  9.1
31.23  18.0
32.68  100.0
38.41  35.7
43.11  12.3
50.46  40.3
51.15  33.1
61.43  14.9

```
data_Cr2Se3
_chemical_formula_sum 'Cr6 Se9'
_space_group_name_H-M_alt 'R -3 m'
_space_group_IT_number 166
_space_group_name_Hall '-R 3 2"'
_cell_length_a 3.6173
_cell_length_b 3.6173
_cell_length_c 28.2549
_cell_angle_alpha 90.00
_cell_angle_beta 90.00
_cell_angle_gamma 120.00
loop_
_atom_site_label
_atom_site_fract_x
_atom_site_fract_y
_atom_site_fract_z
Cr1 0.0000 0.0000 0.1077
Se1 0.0000 0.0000 0.2726
Se2 0.0000 0.0000 0.5000
```

***

Record 10
Structure and calculated PXRD pattern of Cr3Se4 (DFT lattice parameters and positions (PBE); Cu Kα).
Kinematic intensities with the Lorentz-polarization factor, no thermal factor.

The 10 most intense peaks (5° ≤ 2θ ≤ 70°), sorted by position:
2θ/deg  intensity
7.22  21.8
14.46  8.4
31.63  100.0
40.85  54.7
40.91  8.1
49.50  40.5
53.24  12.7
53.34  8.9
59.94  15.4
60.45  8.2

```
data_Cr3Se4
_chemical_formula_sum 'Cr6 Se8'
_space_group_name_H-M_alt 'C 1 2/m 1'
_space_group_IT_number 12
_space_group_name_Hall '-C 2y'
_cell_length_a 6.379
_cell_length_b 3.683
_cell_length_c 12.247
_cell_angle_alpha 90.00
_cell_angle_beta 90.15
_cell_angle_gamma 90.00
loop_
_atom_site_label
_atom_site_fract_x
_atom_site_fract_y
_atom_site_fract_z
Cr1 0.000 0.000 0.000
Cr2 0.001 0.000 0.260
Se1 0.166 0.500 0.876
Se2 0.168 0.500 0.364
```

***

Record 11
Structure and calculated PXRD pattern of CrSnSe2 (DFT lattice parameters and positions (PBE); Cu Kα).
Kinematic intensities with the Lorentz-polarization factor, no thermal factor.

The 10 most intense peaks (5° ≤ 2θ ≤ 70°), sorted by position:
2θ/deg  intensity
15.99  22.1
27.51  33.0
31.60  62.1
31.80  34.4
32.35  100.0
41.73  20.2
42.33  17.7
45.76  18.3
45.95  21.2
49.25  19.8

```
data_CrSnSe2
_chemical_formula_sum 'Cr4 Sn4 Se8'
_space_group_name_H-M_alt 'I m a 2'
_space_group_IT_number 46
_space_group_name_Hall 'I 2 -2a'
_cell_length_a 5.628
_cell_length_b 9.829
_cell_length_c 6.714
_cell_angle_alpha 90.00
_cell_angle_beta 90.00
_cell_angle_gamma 90.00
loop_
_atom_site_label
_atom_site_fract_x
_atom_site_fract_y
_atom_site_fract_z
Cr1 0.000 0.000 0.000
Sn1 0.250 0.087 0.660
Se1 0.250 0.128 0.221
Se2 0.250 0.694 0.441
```

***

Record 12
Structure and calculated PXRD pattern of Cr5SnSe8 (DFT lattice parameters and positions (PBE); Cu Kα).
Kinematic intensities with the Lorentz-polarization factor, no thermal factor.

The 10 most intense peaks (5° ≤ 2θ ≤ 70°), sorted by position:
2θ/deg  intensity
12.00  21.4
30.74  25.2
30.95  24.4
31.36  100.0
32.79  54.2
36.56  24.4
39.37  21.2
45.21  26.3
49.16  32.4
49.65  31.0

```
data_Cr5SnSe8
_chemical_formula_sum 'Cr10 Sn2 Se16'
_space_group_name_H-M_alt 'C 1 m 1'
_space_group_IT_number 8
_space_group_name_Hall 'C -2y'
_cell_length_a 19.324
_cell_length_b 3.672
_cell_length_c 8.974
_cell_angle_alpha 90.00
_cell_angle_beta 105.00
_cell_angle_gamma 90.00
loop_
_atom_site_label
_atom_site_fract_x
_atom_site_fract_y
_atom_site_fract_z
Cr1 0.000 0.000 0.000
Cr2 0.048 0.000 0.355
Cr3 0.140 0.500 0.704
Cr4 0.189 0.500 0.064
Cr5 0.341 0.000 0.029
Sn1 0.392 0.500 0.497
Se1 0.012 0.500 0.527
Se2 0.081 0.500 0.186
Se3 0.108 0.000 0.885
Se4 0.168 0.000 0.540
Se5 0.262 0.000 0.218
Se6 0.267 0.500 0.877
Se7 0.416 0.500 0.187
Se8 0.425 0.000 0.849
```

***

Record 13
Structure and calculated PXRD pattern of CrSn2Se4 (DFT lattice parameters and positions (PBE); Cu Kα).
Kinematic intensities with the Lorentz-polarization factor, no thermal factor.

The 10 most intense peaks (5° ≤ 2θ ≤ 70°), sorted by position:
2θ/deg  intensity
18.92  26.1
22.64  18.4
26.84  43.6
31.52  66.3
33.90  48.1
34.54  100.0
40.26  27.4
46.22  30.3
49.67  27.8
57.02  24.4

```
data_CrSn2Se4
_chemical_formula_sum 'Cr2 Sn4 Se8'
_space_group_name_H-M_alt 'P b a m'
_space_group_IT_number 55
_space_group_name_Hall '-P 2 2ab'
_cell_length_a 7.212
_cell_length_b 12.352
_cell_length_c 3.928
_cell_angle_alpha 90.00
_cell_angle_beta 90.00
_cell_angle_gamma 90.00
loop_
_atom_site_label
_atom_site_fract_x
_atom_site_fract_y
_atom_site_fract_z
Cr1 0.000 0.000 0.000
Sn1 0.117 0.339 0.500
Se1 0.113 0.807 0.000
Se2 0.219 0.047 0.500
```

***

Record 14
Structure and calculated PXRD pattern of CrSnSe2 (DFT lattice parameters and positions (PBE); Cu Kα).
Kinematic intensities with the Lorentz-polarization factor, no thermal factor.

The 10 most intense peaks (5° ≤ 2θ ≤ 70°), sorted by position:
2θ/deg  intensity
27.28  23.7
30.24  35.1
31.78  39.0
32.25  100.0
35.80  28.8
37.45  22.8
43.48  24.7
44.37  28.4
47.42  45.7
48.89  42.7

```
data_CrSnSe2
_chemical_formula_sum 'Cr2 Sn2 Se4'
_space_group_name_H-M_alt 'P 1'
_space_group_IT_number 1
_space_group_name_Hall 'P 1'
_cell_length_a 3.725
_cell_length_b 6.543
_cell_length_c 8.744
_cell_angle_alpha 94.63
_cell_angle_beta 102.28
_cell_angle_gamma 106.54
loop_
_atom_site_label
_atom_site_fract_x
_atom_site_fract_y
_atom_site_fract_z
Cr1 0.000 0.000 0.000
Cr2 0.271 0.378 0.165
Sn1 0.144 0.568 0.720
Sn2 0.185 0.020 0.344
Se1 0.432 0.771 0.094
Se2 0.615 0.268 0.961
Se3 0.785 0.873 0.697
Se4 0.888 0.407 0.369
```